For Li2Mn3B3O9, a DFT-relaxed cell (PBE+U, Alexandria) gives the computed powder X-ray diffraction pattern in this record (Cu Kα, 1.54184 Å).

Peak list (10 most intense, 2θ from 10° to 90°, sorted by position)
2theta  I_rel  hkl
19.98  100  1 1 -1
20.85  30  0 1 -2
21.98  57  1 0 -2
22.38  79  1 0 1
33.85  42  1 2 0
34.12  96  2 -2 0
37.34  32  2 1 -3
39.94  32  1 1 -4
40.85  37  0 2 2
53.03  32  2 3 -1

Structural model:
```
data_Li2Mn3B3O9
_chemical_formula_sum 'Li4 Mn6 B6 O18'
_cell_length_a 6.2636
_cell_length_b 7.7518
_cell_length_c 9.0535
_cell_angle_alpha 109.39
_cell_angle_beta 107.12
_cell_angle_gamma 99.85
_symmetry_space_group_name_H-M 'P 1'
_symmetry_Int_Tables_number 1
_symmetry_space_group_name_Hall 'P 1'
loop_
_atom_site_label
_atom_site_fract_x
_atom_site_fract_y
_atom_site_fract_z
_atom_site_occupancy
Li1 0.9997 0.1616 0.2179 1
Li2 0.0003 0.8384 0.7821 1
Li3 0.3160 0.5072 0.8874 1
Li4 0.6840 0.4928 0.1126 1
Mn1 0.0322 0.7911 0.4362 1
Mn2 0.3104 0.5603 0.2402 1
Mn3 0.3947 0.1324 0.1264 1
Mn4 0.6053 0.8676 0.8736 1
Mn5 0.6896 0.4397 0.7598 1
Mn6 0.9678 0.2089 0.5638 1
B1 0.0269 0.7936 0.1025 1
B2 0.2590 0.5320 0.5501 1
B3 0.3536 0.1354 0.7888 1
B4 0.6464 0.8646 0.2112 1
B5 0.7410 0.4680 0.4499 1
B6 0.9731 0.2064 0.8975 1
O1 0.0020 0.3259 0.8095 1
O2 0.1068 0.2801 0.0699 1
O3 0.1126 0.3492 0.4481 1
O4 0.1753 0.9736 0.1915 1
O5 0.2042 0.0787 0.6195 1
O6 0.2821 0.6696 0.4800 1
O7 0.3296 0.0040 0.8599 1
O8 0.3993 0.5805 0.7165 1
O9 0.4910 0.6835 0.1206 1
O10 0.5090 0.3165 0.8794 1
O11 0.6007 0.4195 0.2835 1
O12 0.6704 0.9960 0.1401 1
O13 0.7179 0.3303 0.5200 1
O14 0.7958 0.9213 0.3805 1
O15 0.8247 0.0264 0.8085 1
O16 0.8874 0.6508 0.5519 1
O17 0.8932 0.7199 0.9301 1
O18 0.9980 0.6741 0.1905 1
```